This entry pairs a crystal structure of ErSc2O4 with its calculated powder diffractogram. Radiation: λ = 1.5418 Å (Cu Kα). Structure: a structure optimized by DFT (PBE).

Peak list (10 most intense, 2θ = 10–90°, low angle first)
2θ/deg	I_rel
16.99	25
27.91	83
32.86	100
43.64	13
49.38	34
52.60	38
57.68	35
65.27	14
79.30	18
81.83	20

Atomic structure:
abc: 6.393 6.393 6.393
angles: 60.00 60.00 60.00
Fractional coordinates of all 14 atoms:
1 Er 0.125 0.125 0.125
2 Er 0.875 0.875 0.875
3 Sc 0.000 0.500 0.500
4 Sc 0.500 0.000 0.500
5 Sc 0.500 0.500 0.000
6 Sc 0.500 0.500 0.500
7 O 0.261 0.261 0.261
8 O 0.261 0.261 0.717
9 O 0.261 0.717 0.261
10 O 0.283 0.739 0.739
11 O 0.717 0.261 0.261
12 O 0.739 0.283 0.739
13 O 0.739 0.739 0.283
14 O 0.739 0.739 0.739